Simulated powder XRD pattern
Compound: MgV4O7F5
Radiation: Cu Kα X-rays
Structure: a DFT-relaxed cell (PBE+U, the Materials Project)

Crystal structure
Cell lengths 5.2250, 5.2931, 8.9243 Å; angles 104.15, 90.02, 117.77 degrees
Space group P1 (No. 1)
Symmetry-distinct sites (fractional):
Mg1 0.0000 0.0000 0.0000 (multiplicity 1)
V1 0.1785 0.3766 0.4044 (multiplicity 1)
V2 0.4907 0.8820 0.1734 (multiplicity 1)
V3 0.7015 0.3796 0.8967 (multiplicity 1)
V4 0.9126 0.8939 0.6449 (multiplicity 1)
O1 0.1484 0.1352 0.5080 (multiplicity 1)
O2 0.2493 0.6514 0.2720 (multiplicity 1)
O3 0.6456 0.6691 0.0761 (multiplicity 1)
O4 0.7058 0.1569 0.0165 (multiplicity 1)
O5 0.7611 0.6519 0.7885 (multiplicity 1)
O6 0.7660 0.1542 0.3160 (multiplicity 1)
O7 0.7809 0.1304 0.7207 (multiplicity 1)
F1 0.1224 0.6557 0.5716 (multiplicity 1)
F2 0.1436 0.6842 0.9825 (multiplicity 1)
F3 0.2614 0.1443 0.2021 (multiplicity 1)
F4 0.2626 0.1464 0.8380 (multiplicity 1)
F5 0.6134 0.6286 0.4719 (multiplicity 1)

Top 12 peaks for 2θ = 15–90°, in order of rising 2θ:
2θ/deg	d (Å)	I_rel
23.20	3.835	100.0
23.80	3.739	98.8
24.39	3.649	98.5
32.58	2.748	23.1
33.05	2.711	25.4
33.97	2.639	20.5
34.72	2.584	23.2
39.32	2.292	21.0
47.42	1.917	26.1
48.70	1.870	24.3
49.99	1.825	20.2
52.51	1.743	18.1


Simulated powder XRD pattern
Compound: MgV4O4F8
Radiation: Cu Kα X-rays
Structure: a DFT-relaxed cell (PBE+U, the Materials Project)

Crystal structure
Cell lengths 5.1952, 5.2031, 9.4968 Å; angles 76.92, 75.84, 62.06 degrees
Space group P1 (No. 1)
Symmetry-distinct sites (fractional):
Mg1 0.0000 0.0000 0.0000 (multiplicity 1)
V1 0.1049 0.1659 0.5457 (multiplicity 1)
V2 0.4219 0.4415 0.7874 (multiplicity 1)
V3 0.6341 0.6622 0.0527 (multiplicity 1)
V4 0.8738 0.8946 0.3125 (multiplicity 1)
O1 0.3793 0.6660 0.9286 (multiplicity 1)
O2 0.7448 0.3962 0.6769 (multiplicity 1)
O3 0.8461 0.7311 0.1628 (multiplicity 1)
O4 0.9181 0.1124 0.4402 (multiplicity 1)
F1 0.0215 0.3865 0.9281 (multiplicity 1)
F2 0.1212 0.5184 0.4238 (multiplicity 1)
F3 0.1419 0.8027 0.6891 (multiplicity 1)
F4 0.2364 0.9196 0.1659 (multiplicity 1)
F5 0.3274 0.2142 0.6784 (multiplicity 1)
F6 0.4983 0.9224 0.4432 (multiplicity 1)
F7 0.6450 0.0536 0.9206 (multiplicity 1)
F8 0.6772 0.2800 0.1676 (multiplicity 1)

Top 12 peaks for 2θ = 15–90°, in order of rising 2θ:
2θ/deg	d (Å)	I_rel
22.92	3.880	99.1
23.29	3.820	97.3
24.27	3.667	100.0
32.35	2.767	21.5
32.70	2.739	19.8
33.20	2.699	24.1
46.82	1.940	24.8
47.61	1.910	23.9
49.73	1.833	20.9
52.17	1.753	34.0
54.19	1.693	23.6
60.49	1.531	25.0


Simulated powder XRD pattern
Compound: MgV6O5F19
Radiation: Cu Kα X-rays
Structure: a DFT-relaxed cell (PBE+U, the Materials Project)

Crystal structure
Cell lengths 5.3665, 5.4505, 15.5823 Å; angles 99.76, 90.15, 91.42 degrees
Space group P1 (No. 1)
Symmetry-distinct sites (fractional):
Mg1 0.0000 0.0000 0.0000 (multiplicity 1)
V1 0.2837 0.1502 0.8108 (multiplicity 1)
V2 0.2854 0.4817 0.4928 (multiplicity 1)
V3 0.3054 0.8763 0.1759 (multiplicity 1)
V4 0.8046 0.9513 0.4893 (multiplicity 1)
V5 0.8194 0.3851 0.1724 (multiplicity 1)
V6 0.8291 0.6346 0.8076 (multiplicity 1)
O1 0.0022 0.3787 0.8018 (multiplicity 1)
O2 0.0426 0.8677 0.8009 (multiplicity 1)
O3 0.0545 0.5720 0.1503 (multiplicity 1)
O4 0.4995 0.1145 0.1835 (multiplicity 1)
O5 0.9839 0.7087 0.4751 (multiplicity 1)
F1 0.0065 0.0659 0.1609 (multiplicity 1)
F2 0.0602 0.1869 0.4661 (multiplicity 1)
F3 0.1876 0.5348 0.6024 (multiplicity 1)
F4 0.1987 0.1960 0.9335 (multiplicity 1)
F5 0.2207 0.8896 0.2852 (multiplicity 1)
F6 0.2772 0.8385 0.0510 (multiplicity 1)
F7 0.3269 0.4725 0.3798 (multiplicity 1)
F8 0.3329 0.1134 0.6987 (multiplicity 1)
F9 0.5007 0.7877 0.5168 (multiplicity 1)
F10 0.5049 0.4371 0.8382 (multiplicity 1)
F11 0.5417 0.9441 0.8354 (multiplicity 1)
F12 0.5458 0.6303 0.1698 (multiplicity 1)
F13 0.5571 0.2913 0.5090 (multiplicity 1)
F14 0.6872 0.9503 0.3828 (multiplicity 1)
F15 0.6928 0.5973 0.7028 (multiplicity 1)
F16 0.7528 0.2324 0.0496 (multiplicity 1)
F17 0.8010 0.4100 0.2885 (multiplicity 1)
F18 0.8266 0.7203 0.9344 (multiplicity 1)
F19 0.8448 0.0682 0.6014 (multiplicity 1)

Top 12 peaks for 2θ = 15–90°, in order of rising 2θ:
2θ/deg	d (Å)	I_rel
17.32	5.119	100.0
24.51	3.631	48.7
24.66	3.611	54.0
25.13	3.543	98.3
32.87	2.724	11.3
33.40	2.683	10.2
35.06	2.559	18.9
46.94	1.936	22.0
48.20	1.888	17.0
50.59	1.804	11.6
50.71	1.800	12.7
53.73	1.706	10.9


Simulated powder XRD pattern
Compound: MgV6O5F19
Radiation: Cu Kα X-rays
Structure: a DFT-relaxed cell (PBE+U, the Materials Project)

Crystal structure
Cell lengths 5.0316, 5.5791, 15.4106 Å; angles 83.45, 87.72, 88.27 degrees
Space group P1 (No. 1)
Symmetry-distinct sites (fractional):
Mg1 0.0000 0.0000 0.0000 (multiplicity 1)
V1 0.0256 0.9517 0.5047 (multiplicity 1)
V2 0.0404 0.4001 0.8264 (multiplicity 1)
V3 0.0514 0.6177 0.1775 (multiplicity 1)
V4 0.4785 0.4456 0.5034 (multiplicity 1)
V5 0.5225 0.1487 0.1772 (multiplicity 1)
V6 0.5552 0.8951 0.8413 (multiplicity 1)
O1 0.2165 0.7229 0.4767 (multiplicity 1)
O2 0.2248 0.6317 0.8016 (multiplicity 1)
O3 0.2828 0.4110 0.1414 (multiplicity 1)
O4 0.3020 0.2226 0.4763 (multiplicity 1)
O5 0.7880 0.0567 0.8843 (multiplicity 1)
F1 0.1204 0.9720 0.6130 (multiplicity 1)
F2 0.1344 0.3182 0.9434 (multiplicity 1)
F3 0.1342 0.6282 0.2888 (multiplicity 1)
F4 0.2649 0.9270 0.1322 (multiplicity 1)
F5 0.2955 0.1583 0.7983 (multiplicity 1)
F6 0.3137 0.8485 0.9430 (multiplicity 1)
F7 0.3753 0.4721 0.6133 (multiplicity 1)
F8 0.3833 0.0997 0.2831 (multiplicity 1)
F9 0.6345 0.5646 0.4035 (multiplicity 1)
F10 0.6428 0.8675 0.7295 (multiplicity 1)
F11 0.7039 0.1665 0.0669 (multiplicity 1)
F12 0.7243 0.7967 0.5396 (multiplicity 1)
F13 0.7390 0.5710 0.8733 (multiplicity 1)
F14 0.7676 0.8760 0.2059 (multiplicity 1)
F15 0.7767 0.3728 0.2112 (multiplicity 1)
F16 0.7828 0.2857 0.5404 (multiplicity 1)
F17 0.8698 0.3716 0.7314 (multiplicity 1)
F18 0.8959 0.6966 0.0629 (multiplicity 1)
F19 0.9024 0.0754 0.4026 (multiplicity 1)

Top 12 peaks for 2θ = 15–90°, in order of rising 2θ:
2θ/deg	d (Å)	I_rel
17.39	5.100	100.0
24.90	3.576	37.2
25.20	3.534	88.5
26.39	3.377	38.0
32.18	2.782	9.4
39.01	2.309	13.6
39.90	2.259	10.8
40.24	2.241	10.6
40.28	2.239	10.0
41.35	2.183	7.7
51.74	1.767	11.4
54.31	1.689	7.8


Simulated powder XRD pattern
Compound: MgVOF2
Radiation: Cu Kα X-rays
Structure: a DFT-relaxed cell (PBE+U, the Materials Project)

Crystal structure
Cell lengths 3.1616, 4.1238, 5.4790 Å; angles 112.02, 106.38, 90.00 degrees
Space group P1 (No. 1)
Symmetry-distinct sites (fractional):
Mg1 0.0000 0.0000 0.0000 (multiplicity 1)
V1 0.6688 0.6720 0.3454 (multiplicity 1)
O1 0.6206 0.1229 0.2468 (multiplicity 1)
F1 0.0104 0.5117 0.0238 (multiplicity 1)
F2 0.3263 0.8325 0.6664 (multiplicity 1)

Top 12 peaks for 2θ = 15–90°, in order of rising 2θ:
2θ/deg	d (Å)	I_rel
18.34	4.839	71.5
23.45	3.794	100.0
39.78	2.266	68.2
40.08	2.250	66.6
43.91	2.062	54.3
52.38	1.747	17.6
52.71	1.737	17.6
57.11	1.613	16.0
58.38	1.581	20.2
60.73	1.525	32.3
60.95	1.520	31.9
75.83	1.255	16.1


Simulated powder XRD pattern
Compound: MgV6O5F19
Radiation: Cu Kα X-rays
Structure: a DFT-relaxed cell (PBE+U, the Materials Project)

Crystal structure
Cell lengths 5.3951, 5.4803, 15.4308 Å; angles 79.86, 89.97, 89.21 degrees
Space group P1 (No. 1)
Symmetry-distinct sites (fractional):
Mg1 0.0000 0.0000 0.0000 (multiplicity 1)
V1 0.2076 0.2915 0.8352 (multiplicity 1)
V2 0.2446 0.6455 0.1931 (multiplicity 1)
V3 0.2736 0.0580 0.5124 (multiplicity 1)
V4 0.7079 0.7915 0.8387 (multiplicity 1)
V5 0.7114 0.1782 0.1904 (multiplicity 1)
V6 0.7245 0.5535 0.5130 (multiplicity 1)
O1 0.0021 0.0534 0.8565 (multiplicity 1)
O2 0.4557 0.3009 0.4936 (multiplicity 1)
O3 0.4853 0.5911 0.8427 (multiplicity 1)
O4 0.5042 0.4248 0.1714 (multiplicity 1)
O5 0.5358 0.7977 0.4950 (multiplicity 1)
F1 0.0109 0.3787 0.2035 (multiplicity 1)
F2 0.0119 0.6918 0.5372 (multiplicity 1)
F3 0.1743 0.7213 0.0686 (multiplicity 1)
F4 0.1761 0.0225 0.4061 (multiplicity 1)
F5 0.2070 0.4310 0.7222 (multiplicity 1)
F6 0.2787 0.2244 0.9618 (multiplicity 1)
F7 0.2916 0.6067 0.3065 (multiplicity 1)
F8 0.3252 0.9337 0.6252 (multiplicity 1)
F9 0.4685 0.9239 0.1698 (multiplicity 1)
F10 0.5064 0.0838 0.8178 (multiplicity 1)
F11 0.6726 0.4244 0.6250 (multiplicity 1)
F12 0.6930 0.0732 0.3069 (multiplicity 1)
F13 0.7145 0.8072 0.9605 (multiplicity 1)
F14 0.8002 0.8416 0.7281 (multiplicity 1)
F15 0.8128 0.1974 0.0661 (multiplicity 1)
F16 0.8156 0.5174 0.4058 (multiplicity 1)
F17 0.9704 0.5507 0.8655 (multiplicity 1)
F18 0.9709 0.8792 0.1980 (multiplicity 1)
F19 0.9793 0.1942 0.5373 (multiplicity 1)

Top 12 peaks for 2θ = 15–90°, in order of rising 2θ:
2θ/deg	d (Å)	I_rel
17.51	5.064	100.0
24.62	3.616	97.3
24.92	3.573	100.0
32.68	2.740	9.5
33.22	2.697	9.8
35.46	2.531	21.8
46.94	1.936	19.6
47.63	1.909	19.0
51.00	1.791	13.3
51.10	1.787	15.6
54.36	1.688	10.2
54.70	1.678	6.8


Simulated powder XRD pattern
Compound: MgV2O2F6
Radiation: Cu Kα X-rays
Structure: a DFT-relaxed cell (PBE+U, the Materials Project)

Crystal structure
Cell lengths 5.5845, 6.0193, 6.2430 Å; angles 68.97, 87.74, 89.65 degrees
Space group P1 (No. 1)
Symmetry-distinct sites (fractional):
Mg1 0.0000 0.0000 0.0000 (multiplicity 1)
V1 0.4994 0.1504 0.5928 (multiplicity 1)
V2 0.9951 0.4595 0.2522 (multiplicity 1)
O1 0.2200 0.3006 0.4022 (multiplicity 1)
O2 0.7003 0.3657 0.4373 (multiplicity 1)
F1 0.1060 0.6883 0.9657 (multiplicity 1)
F2 0.2951 0.1572 0.8451 (multiplicity 1)
F3 0.4681 0.8906 0.5203 (multiplicity 1)
F4 0.7256 0.9893 0.8263 (multiplicity 1)
F5 0.8955 0.2686 0.0817 (multiplicity 1)
F6 0.9618 0.7537 0.3084 (multiplicity 1)

Top 12 peaks for 2θ = 15–90°, in order of rising 2θ:
2θ/deg	d (Å)	I_rel
15.77	5.618	37.6
15.88	5.580	15.4
17.57	5.049	100.0
21.61	4.111	88.2
22.36	3.976	23.5
22.52	3.948	87.3
29.94	2.984	30.3
30.74	2.908	17.8
32.08	2.790	13.4
39.63	2.274	10.4
50.94	1.793	13.4
52.83	1.733	14.3


Simulated powder XRD pattern
Compound: MgV2O2F6
Radiation: Cu Kα X-rays
Structure: a DFT-relaxed cell (PBE+U, the Materials Project)

Crystal structure
Cell lengths 4.6703, 4.7970, 7.3232 Å; angles 107.29, 108.55, 90.01 degrees
Space group P1 (No. 1)
Symmetry-distinct sites (fractional):
Mg1 0.0000 0.0000 0.0000 (multiplicity 1)
V1 0.2840 0.7754 0.6077 (multiplicity 1)
V2 0.6765 0.2272 0.3922 (multiplicity 1)
O1 0.0397 0.5014 0.5906 (multiplicity 1)
O2 0.4492 0.5014 0.4092 (multiplicity 1)
F1 0.1870 0.0798 0.8202 (multiplicity 1)
F2 0.3675 0.9223 0.1799 (multiplicity 1)
F3 0.5676 0.0877 0.5938 (multiplicity 1)
F4 0.6427 0.7414 0.8250 (multiplicity 1)
F5 0.8181 0.2603 0.1746 (multiplicity 1)
F6 0.9740 0.9150 0.4061 (multiplicity 1)

Top 12 peaks for 2θ = 15–90°, in order of rising 2θ:
2θ/deg	d (Å)	I_rel
19.49	4.555	59.5
19.92	4.458	100.0
26.65	3.345	64.3
27.88	3.201	99.7
29.66	3.012	95.6
30.24	2.955	61.9
37.87	2.376	54.4
38.80	2.321	50.7
47.97	1.897	34.6
54.89	1.673	50.0
55.55	1.654	34.0
56.43	1.631	37.0


Simulated powder XRD pattern
Compound: MgV4O7F5
Radiation: Cu Kα X-rays
Structure: a DFT-relaxed cell (PBE+U, the Materials Project)

Crystal structure
Cell lengths 5.1386, 5.3784, 7.5909 Å; angles 86.83, 88.01, 87.29 degrees
Space group P1 (No. 1)
Symmetry-distinct sites (fractional):
Mg1 0.0000 0.0000 0.0000 (multiplicity 1)
V1 0.0170 0.5915 0.2679 (multiplicity 1)
V2 0.5018 0.0938 0.3018 (multiplicity 1)
V3 0.5280 0.0960 0.7660 (multiplicity 1)
V4 0.9565 0.5709 0.7701 (multiplicity 1)
O1 0.0976 0.6112 0.0477 (multiplicity 1)
O2 0.2210 0.2936 0.3270 (multiplicity 1)
O3 0.5928 0.0916 0.5480 (multiplicity 1)
O4 0.7305 0.8044 0.8471 (multiplicity 1)
O5 0.8011 0.9206 0.2301 (multiplicity 1)
O6 0.8154 0.2859 0.8493 (multiplicity 1)
O7 0.9122 0.5878 0.5548 (multiplicity 1)
F1 0.1994 0.9068 0.7629 (multiplicity 1)
F2 0.3049 0.7877 0.3469 (multiplicity 1)
F3 0.3087 0.4159 0.7560 (multiplicity 1)
F4 0.3709 0.0920 0.0316 (multiplicity 1)
F5 0.7053 0.4062 0.2480 (multiplicity 1)

Top 12 peaks for 2θ = 15–90°, in order of rising 2θ:
2θ/deg	d (Å)	I_rel
23.47	3.791	100.0
24.55	3.626	47.2
32.35	2.768	11.7
33.41	2.682	13.1
33.99	2.637	10.9
34.47	2.602	13.1
39.44	2.285	9.1
48.00	1.896	24.6
50.32	1.813	10.3
52.59	1.740	7.7
53.50	1.713	7.5
62.41	1.488	10.1


Simulated powder XRD pattern
Compound: MgV4O7F5
Radiation: Cu Kα X-rays
Structure: a DFT-relaxed cell (PBE+U, the Materials Project)

Crystal structure
Cell lengths 5.1272, 5.3883, 8.8896 Å; angles 73.55, 75.47, 63.58 degrees
Space group P1 (No. 1)
Symmetry-distinct sites (fractional):
Mg1 0.0000 0.0000 0.0000 (multiplicity 1)
V1 0.2449 0.0113 0.6084 (multiplicity 1)
V2 0.4198 0.3183 0.8341 (multiplicity 1)
V3 0.6303 0.5168 0.1227 (multiplicity 1)
V4 0.9331 0.7049 0.3779 (multiplicity 1)
O1 0.1692 0.3493 0.4945 (multiplicity 1)
O2 0.2168 0.6394 0.7365 (multiplicity 1)
O3 0.2562 0.6880 0.1720 (multiplicity 1)
O4 0.2700 0.0630 0.7944 (multiplicity 1)
O5 0.6088 0.8310 0.5411 (multiplicity 1)
O6 0.6515 0.3775 0.9465 (multiplicity 1)
O7 0.7761 0.5770 0.2860 (multiplicity 1)
F1 0.1168 0.9030 0.4441 (multiplicity 1)
F2 0.1471 0.2802 0.0365 (multiplicity 1)
F3 0.7290 0.8294 0.9898 (multiplicity 1)
F4 0.7444 0.1124 0.2277 (multiplicity 1)
F5 0.7740 0.1631 0.6883 (multiplicity 1)

Top 12 peaks for 2θ = 15–90°, in order of rising 2θ:
2θ/deg	d (Å)	I_rel
23.31	3.816	100.0
23.56	3.777	95.5
24.68	3.607	93.9
32.36	2.767	26.1
33.39	2.683	17.2
33.71	2.659	24.6
35.02	2.562	22.5
39.68	2.272	15.8
47.66	1.908	20.3
48.19	1.888	21.7
50.61	1.803	20.5
52.83	1.733	14.4


Simulated powder XRD pattern
Compound: MgV6O5F19
Radiation: Cu Kα X-rays
Structure: a DFT-relaxed cell (PBE+U, the Materials Project)

Crystal structure
Cell lengths 5.2892, 5.4154, 15.5982 Å; angles 80.23, 89.55, 89.69 degrees
Space group P1 (No. 1)
Symmetry-distinct sites (fractional):
Mg1 0.0000 0.0000 0.0000 (multiplicity 1)
V1 0.1912 0.1447 0.1980 (multiplicity 1)
V2 0.2566 0.4981 0.5138 (multiplicity 1)
V3 0.2718 0.7882 0.8379 (multiplicity 1)
V4 0.7345 0.6409 0.1937 (multiplicity 1)
V5 0.7737 0.0232 0.5177 (multiplicity 1)
V6 0.7811 0.2952 0.8360 (multiplicity 1)
O1 0.0161 0.4058 0.2055 (multiplicity 1)
O2 0.0323 0.0911 0.8594 (multiplicity 1)
O3 0.4584 0.5444 0.8394 (multiplicity 1)
O4 0.9516 0.2564 0.5362 (multiplicity 1)
O5 0.9726 0.9128 0.2089 (multiplicity 1)
F1 0.0384 0.7717 0.5411 (multiplicity 1)
F2 0.1520 0.5490 0.4051 (multiplicity 1)
F3 0.1743 0.1957 0.0710 (multiplicity 1)
F4 0.1761 0.8573 0.7289 (multiplicity 1)
F5 0.2816 0.7904 0.9592 (multiplicity 1)
F6 0.3127 0.4023 0.6264 (multiplicity 1)
F7 0.3327 0.0879 0.3020 (multiplicity 1)
F8 0.4670 0.2111 0.4894 (multiplicity 1)
F9 0.4689 0.8865 0.1664 (multiplicity 1)
F10 0.5169 0.3881 0.1639 (multiplicity 1)
F11 0.5312 0.0329 0.8171 (multiplicity 1)
F12 0.5389 0.7045 0.4934 (multiplicity 1)
F13 0.6492 0.9137 0.6233 (multiplicity 1)
F14 0.6549 0.5791 0.3044 (multiplicity 1)
F15 0.7021 0.2132 0.9603 (multiplicity 1)
F16 0.7811 0.4229 0.7233 (multiplicity 1)
F17 0.8277 0.0285 0.4055 (multiplicity 1)
F18 0.8281 0.7282 0.0718 (multiplicity 1)
F19 0.9667 0.5939 0.8637 (multiplicity 1)

Top 12 peaks for 2θ = 15–90°, in order of rising 2θ:
2θ/deg	d (Å)	I_rel
17.31	5.124	69.3
25.05	3.555	100.0
25.21	3.532	31.6
33.08	2.708	8.6
35.03	2.562	11.8
38.93	2.313	7.7
47.95	1.897	11.6
48.24	1.887	12.1
50.51	1.807	5.2
51.36	1.779	6.3
53.66	1.708	6.6
54.35	1.688	6.9